1.
For Pm6Nd3Mg2, a GGA-PBE-relaxed structure gives the calculated powder XRD pattern in this record (Cu Kα).

Structural model:
Lattice parameters (Å, degrees): 6.2638 7.9626 8.0367 107.10 105.18 97.43
Fractional positions:
Pm  0.0526  0.4067  0.1837
Pm  0.1365  0.2257  0.5551
Pm  0.3133  0.8667  0.2632
Pm  0.6867  0.1333  0.7368
Pm  0.8635  0.7743  0.4449
Pm  0.9474  0.5933  0.8163
Nd  0.4063  0.6831  0.6334
Nd  0.5000  0.5000  0.0000
Nd  0.5937  0.3169  0.3666
Mg  0.2286  0.0456  0.9088
Mg  0.7714  0.9544  0.0912

Top 6 peaks for 15 to 90 degrees two-theta, in order of rising 2θ:
30.30 deg, intensity 52; 30.52 deg, intensity 100; 30.59 deg, intensity 50; 35.22 deg, intensity 69; 35.60 deg, intensity 33; 60.38 deg, intensity 28

2.
For La4YIn, a GGA-PBE-relaxed structure gives the calculated powder XRD pattern in this record (Cu Kα).

Structural model:
Lattice parameters (Å, degrees): 6.3292 7.1389 9.0853 90.00 104.61 90.00
Fractional positions:
La  0.0000  0.0000  0.0000
La  0.0000  0.5000  0.0000
La  0.2192  0.0007  0.6552
La  0.2192  0.4993  0.6552
La  0.4875  0.7500  0.0072
La  0.5125  0.2500  0.9928
La  0.7808  0.5007  0.3448
La  0.7808  0.9993  0.3448
Y  0.3024  0.2500  0.3325
Y  0.6976  0.7500  0.6675
In  0.2841  0.7500  0.3418
In  0.7159  0.2500  0.6582

Top 6 peaks for 15 to 90 degrees two-theta, in order of rising 2θ:
28.95 deg, intensity 32; 30.50 deg, intensity 53; 31.10 deg, intensity 36; 31.95 deg, intensity 62; 33.31 deg, intensity 100; 50.24 deg, intensity 26

3.
For AgHgCl6, a GGA-PBE-relaxed structure gives the calculated powder XRD pattern in this record (Cu Kα).

Structural model:
Lattice parameters (Å, degrees): 6.4490 6.6945 6.7182 71.04 74.61 87.54
Fractional positions:
Ag  0.0000  0.0000  0.0000
Hg  0.5000  0.5000  0.0000
Cl  0.0311  0.1100  0.5722
Cl  0.1290  0.3560  0.8030
Cl  0.4383  0.8481  0.8294
Cl  0.5617  0.1519  0.1706
Cl  0.8710  0.6440  0.1970
Cl  0.9689  0.8900  0.4278

Top 6 peaks for 15 to 90 degrees two-theta, in order of rising 2θ:
19.55 deg, intensity 97; 19.69 deg, intensity 100; 20.51 deg, intensity 58; 23.94 deg, intensity 68; 27.98 deg, intensity 74; 28.75 deg, intensity 66

4.
For Ti4Bi2O11, a GGA-PBE-relaxed structure gives the calculated powder XRD pattern in this record (Cu Kα).

Structural model:
Lattice parameters (Å, degrees): 7.6936 7.6936 15.1782 92.92 92.92 28.68
Fractional positions:
Ti  0.0939  0.6124  0.4830
Ti  0.1998  0.6994  0.8598
Ti  0.3006  0.8002  0.6402
Ti  0.3876  0.9061  0.0170
Ti  0.6124  0.0939  0.9830
Ti  0.6994  0.1998  0.3598
Ti  0.8002  0.3006  0.1402
Ti  0.9061  0.3876  0.5170
Bi  0.1302  0.5087  0.1797
Bi  0.4913  0.8698  0.3203
Bi  0.5087  0.1302  0.6797
Bi  0.8698  0.4913  0.8203
O  0.0303  0.5074  0.5824
O  0.0555  0.5790  0.7755
O  0.1154  0.6105  0.9652
O  0.1703  0.6731  0.3719
O  0.1955  0.6940  0.5755
O  0.2686  0.7314  0.7500
O  0.3060  0.8045  0.9245
O  0.3269  0.8297  0.1281
O  0.3895  0.8846  0.5348
O  0.4210  0.9445  0.7245
O  0.4926  0.9697  0.9176
O  0.5074  0.0303  0.0824
O  0.5790  0.0555  0.2755
O  0.6105  0.1154  0.4652
O  0.6731  0.1703  0.8719
O  0.6940  0.1955  0.0755
O  0.7314  0.2686  0.2500
O  0.8045  0.3060  0.4245
O  0.8297  0.3269  0.6281
O  0.8846  0.3895  0.0348
O  0.9445  0.4210  0.2245
O  0.9697  0.4926  0.4176

Top 6 peaks for 15 to 90 degrees two-theta, in order of rising 2θ:
17.13 deg, intensity 52; 27.24 deg, intensity 57; 29.78 deg, intensity 100; 29.96 deg, intensity 67; 30.16 deg, intensity 52; 32.83 deg, intensity 52

5.
For Sr2EuCu3Pb2O8, a GGA-PBE-relaxed structure gives the calculated powder XRD pattern in this record (Cu Kα).

Structural model:
Lattice parameters (Å, degrees): 3.8425 3.8425 16.1320 90.00 90.00 90.00
Fractional positions:
Sr  0.0000  0.0000  0.2223
Sr  0.0000  0.0000  0.7777
Eu  0.0000  0.0000  0.0000
Cu  0.0000  0.0000  0.5000
Cu  0.5000  0.5000  0.1088
Cu  0.5000  0.5000  0.8912
Pb  0.5000  0.5000  0.3881
Pb  0.5000  0.5000  0.6119
O  0.0000  0.0000  0.3848
O  0.0000  0.0000  0.6152
O  0.0000  0.5000  0.0978
O  0.0000  0.5000  0.9022
O  0.5000  0.0000  0.0978
O  0.5000  0.0000  0.9022
O  0.5000  0.5000  0.2530
O  0.5000  0.5000  0.7470

Top 6 peaks for 15 to 90 degrees two-theta, in order of rising 2θ:
23.80 deg, intensity 27; 32.18 deg, intensity 100; 32.97 deg, intensity 65; 43.55 deg, intensity 21; 47.31 deg, intensity 30; 58.37 deg, intensity 38

6.
For AcGaF6, a GGA-PBE-relaxed structure gives the calculated powder XRD pattern in this record (Cu Kα).

Structural model:
Lattice parameters (Å, degrees): 4.7797 4.7797 4.7797 98.06 98.06 98.06
Fractional positions:
Ac  0.0000  0.0000  0.0000
Ga  0.5000  0.5000  0.5000
F  0.2100  0.2100  0.5683
F  0.2100  0.5683  0.2100
F  0.4317  0.7900  0.7900
F  0.5683  0.2100  0.2100
F  0.7900  0.4317  0.7900
F  0.7900  0.7900  0.4317

Top 6 peaks for 15 to 90 degrees two-theta, in order of rising 2θ:
19.01 deg, intensity 37; 24.67 deg, intensity 100; 29.17 deg, intensity 61; 38.56 deg, intensity 25; 40.27 deg, intensity 32; 46.31 deg, intensity 70